Starting from a GGA+U-relaxed structure, the PXRD pattern of CrIrF6 was simulated for Cu Kα (weighted mean of Kα1 and Kα2).
Intensities are scaled so that the largest is 100.

Principal peaks in the range 15° ≤ 2θ ≤ 90°, sorted by position:
- hkl 1 0 0, 2θ = 20.64°, d 4.303, intensity 60
- hkl 1 0 2, 2θ = 28.40°, d 3.142, intensity 100
- hkl 2 -1 2, 2θ = 41.30°, d 2.186, intensity 22
- hkl 2 0 2, 2θ = 46.60°, d 1.949, intensity 26
- hkl 1 1 4, 2θ = 54.36°, d 1.688, intensity 30
- hkl 2 1 2, 2θ = 60.37°, d 1.533, intensity 25

Crystal structure
```
data_CrIrF6
_symmetry_space_group_name_H-M 'P 1'
_symmetry_Int_Tables_number 1
_cell_length_a 4.9690
_cell_length_b 4.9690
_cell_length_c 9.1978
_cell_angle_alpha 90.00
_cell_angle_beta 90.00
_cell_angle_gamma 120.00
loop_
_symmetry_equiv_pos_as_xyz
'x,y,z'
loop_
_atom_site_label
_atom_site_type_symbol
_atom_site_fract_x
_atom_site_fract_y
_atom_site_fract_z
_atom_site_occupancy
Cr1 Cr 0.3333 0.6667 0.2500 1
Cr2 Cr 0.6667 0.3333 0.7500 1
Ir1 Ir 0.0000 0.0000 0.0000 1
Ir2 Ir 0.0000 0.0000 0.5000 1
F1 F 0.0135 0.3408 0.1264 1
F2 F 0.0135 0.6727 0.3736 1
F3 F 0.3273 0.3408 0.3736 1
F4 F 0.3273 0.9865 0.1264 1
F5 F 0.3408 0.0135 0.6264 1
F6 F 0.3408 0.3273 0.8736 1
F7 F 0.6592 0.6727 0.1264 1
F8 F 0.6592 0.9865 0.3736 1
F9 F 0.6727 0.0135 0.8736 1
F10 F 0.6727 0.6592 0.6264 1
F11 F 0.9865 0.3273 0.6264 1
F12 F 0.9865 0.6592 0.8736 1
```